Starting from a structure optimized by DFT (PBE), the powder XRD pattern of Sm5Mg2Cd was computed for Cu Kα X-rays.

Peak list (10 most intense, 2θ = 15–90°, low angle first)
2θ/deg	I_rel	(hkl)
25.89	29	2 1 1
27.49	33	1 1 4
30.42	100	2 1 3
31.92	42	2 0 4
32.13	16	2 2 0
33.69	17	0 0 6
36.04	48	3 1 0
50.75	20	4 1 3
54.49	18	3 3 4
58.24	16	2 1 9

Cell and atoms:
```
data_Sm5Mg2Cd
_chemical_formula_sum 'Sm20 Mg8 Cd4'
_space_group_name_H-M_alt 'I 4/m c m'
_space_group_IT_number 140
_space_group_name_Hall '-I 4 2c'
_cell_length_a 7.881
_cell_length_b 7.881
_cell_length_c 15.962
_cell_angle_alpha 90.00
_cell_angle_beta 90.00
_cell_angle_gamma 90.00
loop_
_atom_site_label
_atom_site_fract_x
_atom_site_fract_y
_atom_site_fract_z
Sm1 0.000 0.000 0.000
Sm2 0.166 0.334 0.157
Mg1 0.126 0.374 0.500
Cd1 0.000 0.000 0.250
```